The following is a simulated powder diffractogram of Pr5Ho2Tm12. It was derived from a GGA-PBE-relaxed structure, using Cu Kα (λ = 1.5418 Å).
Neutral-atom scattering factors, no anomalous dispersion.

Crystal structure
```
19
Lattice="6.729 0.000 0.000 -2.041 8.375 0.000 -2.592 -3.967 10.787" Properties=species:S:1:pos:R:3 pbc="T T T"
Pr 0.000 0.000 0.000
Pr -0.217 5.599 0.066
Pr 0.002 -1.528 6.560
Pr 2.094 5.937 4.227
Pr 2.313 -1.190 10.721
Ho -0.172 3.591 5.767
Ho 2.268 0.818 5.020
Tm -1.046 0.611 4.032
Tm -2.009 1.137 7.436
Tm -1.185 6.312 3.251
Tm -0.894 -1.109 9.850
Tm 0.801 3.047 2.400
Tm -1.084 4.165 9.100
Tm 3.180 0.244 1.688
Tm 1.295 1.362 8.387
Tm 2.990 5.518 0.938
Tm 3.281 -1.903 7.536
Tm 4.105 3.272 3.351
Tm 3.142 3.798 6.755
```

Principal peaks in the range 2θ from 10° to 90°, in order of rising 2θ:
30.1°, I = 42
31.1°, I = 22
31.4°, I = 50
31.8°, I = 80
32.0°, I = 76
32.3°, I = 47
32.4°, I = 100
33.6°, I = 26
47.3°, I = 18
56.5°, I = 18